Record 1
Diffraction record for CePr6Ho. The X-ray diffraction stick pattern is computed, not measured: it uses DFT lattice parameters and positions (PBE) and Cu Ka.
Peak positions follow from Bragg's law for the DFT cell and can differ from measured ones.

```
data_CePr6Ho
_chemical_formula_sum 'Ce4 Pr24 Ho4'
_space_group_name_H-M_alt 'F m m m'
_space_group_IT_number 69
_space_group_name_Hall '-F 2 2'
_cell_length_a 7.355
_cell_length_b 10.331
_cell_length_c 14.707
_cell_angle_alpha 90.00
_cell_angle_beta 90.00
_cell_angle_gamma 90.00
loop_
_atom_site_label
_atom_site_fract_x
_atom_site_fract_y
_atom_site_fract_z
Ce1 0.000 0.000 0.000
Pr1 0.000 0.000 0.248
Pr2 0.250 0.250 0.121
Ho1 0.000 0.000 0.500
```

Peak list (12 most intense, 2θ from 10° to 90°, in order of rising 2θ)
h k l  2θ (°)  I (rel.)
2 2 0  29.83  100
2 0 4  34.49  34
0 4 0  34.73  17
4 0 0  49.58  12
2 4 4  49.76  24
4 2 4  58.94  29
2 6 0  59.26  14
4 4 0  61.95  12
6 2 0  80.54  6
4 6 4  80.82  12
4 4 8  83.19  5
2 8 4  83.60  5

---

Record 2
Diffraction record for La5Nd2Ho2. The X-ray diffraction stick pattern is computed, not measured: it uses DFT lattice parameters and positions (PBE) and Cu Ka.
Peak positions follow from Bragg's law for the DFT cell and can differ from measured ones.

```
data_La5Nd2Ho2
_chemical_formula_sum 'La10 Nd4 Ho4'
_space_group_name_H-M_alt 'C 1 2/m 1'
_space_group_IT_number 12
_space_group_name_Hall '-C 2y'
_cell_length_a 5.188
_cell_length_b 5.242
_cell_length_c 23.470
_cell_angle_alpha 90.00
_cell_angle_beta 96.31
_cell_angle_gamma 90.00
loop_
_atom_site_label
_atom_site_fract_x
_atom_site_fract_y
_atom_site_fract_z
La1 0.000 0.000 0.000
La2 0.057 0.500 0.114
La3 0.222 0.000 0.444
Nd1 0.114 0.000 0.228
Ho1 0.168 0.500 0.334
```

Peak list (12 most intense, 2θ from 10° to 90°, in order of rising 2θ)
h k l  2θ (°)  I (rel.)
1 1 4  29.73  100
0 2 0  34.21  17
2 0 -1  34.59  33
2 2 -1  49.44  24
2 0 8  49.73  12
1 3 4  58.51  15
3 1 3  59.02  28
2 2 8  61.74  12
3 3 3  80.28  11
3 1 12  80.72  5
2 4 -1  82.46  5
4 2 -2  83.11  5

---

Record 3
Diffraction record for Ho2Tm12Th. The X-ray diffraction stick pattern is computed, not measured: it uses DFT lattice parameters and positions (PBE) and Cu Ka.
Peak positions follow from Bragg's law for the DFT cell and can differ from measured ones.

```
data_Ho2Tm12Th
_chemical_formula_sum 'Ho2 Tm12 Th1'
_space_group_name_H-M_alt 'P 1 2/m 1'
_space_group_IT_number 10
_space_group_name_Hall '-P 2y'
_cell_length_a 3.521
_cell_length_b 5.524
_cell_length_c 23.785
_cell_angle_alpha 90.00
_cell_angle_beta 94.18
_cell_angle_gamma 90.00
loop_
_atom_site_label
_atom_site_fract_x
_atom_site_fract_y
_atom_site_fract_z
Ho1 0.143 0.000 0.281
Tm1 0.035 0.500 0.067
Tm2 0.069 0.000 0.136
Tm3 0.224 0.500 0.445
Tm4 0.288 0.000 0.578
Tm5 0.332 0.500 0.670
Tm6 0.403 0.500 0.807
Th1 0.500 0.000 0.000
```

Peak list (12 most intense, 2θ from 10° to 90°, in order of rising 2θ)
h k l  2θ (°)  I (rel.)
1 1 1  30.64  27
0 1 7  30.96  65
1 1 -3  31.57  100
0 2 0  32.42  76
1 0 5  32.84  43
0 1 8  34.33  42
1 1 4  34.67  48
1 2 5  46.81  32
2 0 -1  51.94  20
1 3 -3  57.30  19
2 1 6  61.70  19
2 2 -1  62.57  25

---

Record 4
Diffraction record for TiAg2Cl5. The X-ray diffraction stick pattern is computed, not measured: it uses DFT lattice parameters and positions (PBE) and Cu Ka.
Peak positions follow from Bragg's law for the DFT cell and can differ from measured ones.

```
data_TiAg2Cl5
_chemical_formula_sum 'Ti4 Ag8 Cl20'
_space_group_name_H-M_alt 'C m c m'
_space_group_IT_number 63
_space_group_name_Hall '-C 2c 2'
_cell_length_a 4.768
_cell_length_b 13.882
_cell_length_c 13.128
_cell_angle_alpha 90.00
_cell_angle_beta 90.00
_cell_angle_gamma 90.00
loop_
_atom_site_label
_atom_site_fract_x
_atom_site_fract_y
_atom_site_fract_z
Ti1 0.000 0.183 0.250
Ag1 0.000 0.130 0.569
Cl1 0.000 0.062 0.120
Cl2 0.000 0.309 0.750
Cl3 0.000 0.311 0.117
```

Peak list (12 most intense, 2θ from 10° to 90°, in order of rising 2θ)
h k l  2θ (°)  I (rel.)
0 2 0  12.75  13
1 1 0  19.69  69
0 2 3  24.02  100
0 4 0  25.67  22
0 4 2  29.11  13
0 4 3  32.94  23
1 5 0  37.49  15
2 0 0  37.74  32
1 1 5  39.73  16
1 5 3  42.99  21
2 2 3  45.24  28
2 4 0  46.16  16

---

Record 5
Diffraction record for Mn2BeTe. The X-ray diffraction stick pattern is computed, not measured: it uses DFT lattice parameters and positions (PBE) and Cu Ka.
Peak positions follow from Bragg's law for the DFT cell and can differ from measured ones.

```
data_Mn2BeTe
_chemical_formula_sum 'Mn4 Be2 Te2'
_space_group_name_H-M_alt 'I m m m'
_space_group_IT_number 71
_space_group_name_Hall '-I 2 2'
_cell_length_a 3.463
_cell_length_b 4.307
_cell_length_c 7.140
_cell_angle_alpha 90.00
_cell_angle_beta 90.00
_cell_angle_gamma 90.00
loop_
_atom_site_label
_atom_site_fract_x
_atom_site_fract_y
_atom_site_fract_z
Mn1 0.000 0.000 0.217
Be1 0.000 0.500 0.500
Te1 0.000 0.500 0.000
```

Peak list (12 most intense, 2θ from 10° to 90°, in order of rising 2θ)
h k l  2θ (°)  I (rel.)
0 1 1  24.13  28
1 0 1  28.65  41
0 2 0  41.96  100
0 1 3  43.44  22
0 0 4  51.18  8
1 2 1  51.59  16
2 0 0  52.88  11
0 2 4  68.24  7
2 2 0  69.68  9
2 1 3  70.76  10
1 3 2  76.65  17
1 2 5  86.46  8

---

Record 6
Diffraction record for BaTm4Tl5. The X-ray diffraction stick pattern is computed, not measured: it uses DFT lattice parameters and positions (PBE) and Cu Ka.
Peak positions follow from Bragg's law for the DFT cell and can differ from measured ones.

```
data_BaTm4Tl5
_chemical_formula_sum 'Ba1 Tm4 Tl5'
_space_group_name_H-M_alt 'P m m m'
_space_group_IT_number 47
_space_group_name_Hall '-P 2 2'
_cell_length_a 3.824
_cell_length_b 3.840
_cell_length_c 19.508
_cell_angle_alpha 90.00
_cell_angle_beta 90.00
_cell_angle_gamma 90.00
loop_
_atom_site_label
_atom_site_fract_x
_atom_site_fract_y
_atom_site_fract_z
Ba1 0.000 0.000 0.000
Tm1 0.000 0.000 0.219
Tm2 0.000 0.000 0.407
Tl1 0.500 0.500 0.127
Tl2 0.500 0.500 0.314
Tl3 0.500 0.500 0.500
```

Peak list (12 most intense, 2θ from 10° to 90°, in order of rising 2θ)
h k l  2θ (°)  I (rel.)
1 0 4  29.65  6
1 0 5  32.76  100
1 1 0  33.06  65
1 0 6  36.23  22
0 2 0  47.35  12
2 0 0  47.55  12
0 0 11  51.53  6
1 1 10  58.28  8
1 2 5  58.79  19
2 1 5  58.92  19
1 1 11  62.60  13
2 2 0  69.37  8